1.
# Er5SiTe5
Simulated X-ray diffraction stick pattern, Cu Kα X-rays. Input: a structure optimized by DFT (GGA-PBE).
Intensities are scaled so that the largest is 100.

The 12 most intense peaks (2θ = 10–90°), in order of falling intensity:
(0 2 0), 29.48°, rel. 100; (2 2 2), 42.34°, rel. 55; (4 2 -2), 42.17°, rel. 55; (2 0 2), 29.64°, rel. 48; (2 2 -4), 52.48°, rel. 19; (6 2 0), 52.30°, rel. 19; (6 4 0), 77.23°, rel. 17; (4 4 -2), 69.46°, rel. 16; (0 0 6), 69.74°, rel. 12; (2 4 2), 69.53°, rel. 8; (0 0 2), 21.95°, rel. 8; (8 2 -4), 69.27°, rel. 8

```
data_Er5SiTe5
_chemical_formula_sum 'Er10 Si2 Te10'
_symmetry_space_group_name_H-M 'C 1 2/m 1'
_symmetry_Int_Tables_number 12
_cell_length_a 13.5801
_cell_length_b 6.0504
_cell_length_c 8.5351
_cell_angle_alpha 90.00
_cell_angle_beta 108.71
_cell_angle_gamma 90.00
loop_
_symmetry_equiv_pos_as_xyz
'x,y,z'
'-x,-y,-z'
'-x,y,-z'
'x,-y,z'
'x+1/2,y+1/2,z'
'-x+1/2,-y+1/2,-z'
'-x+1/2,y+1/2,-z'
'x+1/2,-y+1/2,z'
loop_
_atom_site_label
_atom_site_fract_x
_atom_site_fract_y
_atom_site_fract_z
Er1 0.0000 0.0000 0.0000
Er2 0.1546 0.5000 0.3151
Er3 0.1554 0.5000 0.8418
Si1 0.0000 0.5000 0.0000
Te1 0.0000 0.5000 0.5000
Te2 0.1642 0.0000 0.8250
Te3 0.1727 0.0000 0.3359
```

2.
# NdOsW
Simulated X-ray diffraction stick pattern, Cu Kα X-rays. Input: a structure optimized by DFT (GGA-PBE).
Intensities are scaled so that the largest is 100.

The 12 most intense peaks (2θ = 10–90°), in order of falling intensity:
(0 0 1), 13.64°, rel. 100; (0 1 2), 34.55°, rel. 71; (0 2 0), 41.76°, rel. 39; (2 1 0), 41.15°, rel. 28; (1 1 1), 30.50°, rel. 27; (2 1 -1), 43.43°, rel. 25; (1 0 -2), 32.57°, rel. 24; (2 1 2), 50.41°, rel. 24; (2 0 0), 35.26°, rel. 21; (1 1 2), 39.08°, rel. 20; (1 1 -4), 63.77°, rel. 16; (1 1 0), 27.05°, rel. 14

```
data_NdOsW
_chemical_formula_sum 'Nd2 Os2 W2'
_symmetry_space_group_name_H-M 'P 1 21/m 1'
_symmetry_Int_Tables_number 11
_cell_length_a 5.0912
_cell_length_b 4.3255
_cell_length_c 6.4906
_cell_angle_alpha 90.00
_cell_angle_beta 90.57
_cell_angle_gamma 90.00
loop_
_symmetry_equiv_pos_as_xyz
'x,y,z'
'-x,-y,-z'
'-x,y+1/2,-z'
'x,-y+1/2,z'
loop_
_atom_site_label
_atom_site_fract_x
_atom_site_fract_y
_atom_site_fract_z
Nd1 0.2471 0.2500 0.1400
Os1 0.1754 0.7500 0.4681
W1 0.3476 0.2500 0.6232
```

3.
# La6Tl2CoRu
Simulated X-ray diffraction stick pattern, Cu Kα X-rays. Input: a structure optimized by DFT (GGA-PBE).
Intensities are scaled so that the largest is 100.

The 12 most intense peaks (2θ = 10–90°), in order of falling intensity:
(2 2 2), 28.60°, rel. 100; (4 0 0), 33.19°, rel. 59; (4 0 4), 47.53°, rel. 43; (6 2 2), 56.52°, rel. 30; (0 0 4), 33.03°, rel. 30; (4 4 4), 59.20°, rel. 22; (4 4 0), 47.65°, rel. 21; (2 2 0), 23.27°, rel. 19; (2 2 6), 56.31°, rel. 15; (8 4 4), 88.71°, rel. 15; (8 4 0), 79.38°, rel. 14; (6 2 6), 76.80°, rel. 12

```
data_La6Tl2CoRu
_chemical_formula_sum 'La24 Tl8 Co4 Ru4'
_symmetry_space_group_name_H-M 'F m m 2'
_symmetry_Int_Tables_number 42
_symmetry_space_group_name_Hall 'F 2 -2'
_cell_length_a 10.7866
_cell_length_b 10.8054
_cell_length_c 10.8467
_cell_angle_alpha 90.00
_cell_angle_beta 90.00
_cell_angle_gamma 90.00
loop_
_atom_site_label
_atom_site_fract_x
_atom_site_fract_y
_atom_site_fract_z
La1 0.0000 0.0000 0.0000
La2 0.0000 0.0000 0.4937
La3 0.0000 0.2467 0.2467
La4 0.2466 0.0000 0.2470
Tl1 0.2500 0.2500 0.4963
Co1 0.0000 0.0000 0.2469
Ru1 0.0000 0.0000 0.7465
```

4.
# TlHgIr
Simulated X-ray diffraction stick pattern, Cu Kα X-rays. Input: a structure optimized by DFT (GGA-PBE).
Intensities are scaled so that the largest is 100.

The 12 most intense peaks (2θ = 10–90°), in order of falling intensity:
(1 1 3), 37.87°, rel. 100; (0 2 0), 34.29°, rel. 36; (0 0 6), 33.73°, rel. 27; (1 3 3), 63.78°, rel. 22; (0 2 6), 48.87°, rel. 19; (1 1 9), 63.08°, rel. 12; (2 2 0), 70.96°, rel. 10; (2 2 6), 80.92°, rel. 9; (1 1 11), 74.59°, rel. 8; (1 1 5), 44.39°, rel. 8; (2 0 0), 60.00°, rel. 7; (0 0 2), 11.10°, rel. 7

```
data_TlHgIr
_chemical_formula_sum 'Tl4 Hg4 Ir4'
_symmetry_space_group_name_H-M 'F m m 2'
_symmetry_Int_Tables_number 42
_symmetry_space_group_name_Hall 'F 2 -2'
_cell_length_a 3.0837
_cell_length_b 5.2299
_cell_length_c 15.9431
_cell_angle_alpha 90.00
_cell_angle_beta 90.00
_cell_angle_gamma 90.00
loop_
_atom_site_label
_atom_site_fract_x
_atom_site_fract_y
_atom_site_fract_z
Tl1 0.0000 0.0000 0.0000
Hg1 0.0000 0.0000 0.7013
Ir1 0.0000 0.0000 0.3500
```

5.
# Ta3Pt5
Simulated X-ray diffraction stick pattern, Cu Kα X-rays. Input: a structure optimized by DFT (GGA-PBE).
Intensities are scaled so that the largest is 100.

The 12 most intense peaks (2θ = 10–90°), in order of falling intensity:
(1 0 4), 41.26°, rel. 100; (1 1 0), 37.12°, rel. 68; (2 1 4), 69.73°, rel. 43; (2 0 0), 53.50°, rel. 24; (1 1 8), 77.92°, rel. 15; (2 0 8), 89.62°, rel. 11; (2 2 0), 79.07°, rel. 8; (0 0 8), 65.68°, rel. 6; (1 1 5), 55.41°, rel. 1; (1 0 9), 81.12°, rel. 1; (1 0 1), 27.19°, rel. 1; (0 0 5), 39.62°, rel. 1

```
data_Ta3Pt5
_chemical_formula_sum 'Ta3 Pt5'
_symmetry_space_group_name_H-M 'P 4/m m m'
_symmetry_Int_Tables_number 123
_symmetry_space_group_name_Hall '-P 4 2'
_cell_length_a 3.4255
_cell_length_b 3.4255
_cell_length_c 11.3731
_cell_angle_alpha 90.00
_cell_angle_beta 90.00
_cell_angle_gamma 90.00
loop_
_atom_site_label
_atom_site_fract_x
_atom_site_fract_y
_atom_site_fract_z
Ta1 0.0000 0.0000 0.0000
Ta2 0.5000 0.5000 0.3642
Pt1 0.0000 0.0000 0.2549
Pt2 0.0000 0.0000 0.5000
Pt3 0.5000 0.5000 0.1214
```

6.
# CdHgC4S4N4
Simulated X-ray diffraction stick pattern, Cu Kα X-rays. Input: a structure optimized by DFT (GGA-PBE).
Intensities are scaled so that the largest is 100.

The 12 most intense peaks (2θ = 10–90°), in order of falling intensity:
(2 0 0), 15.26°, rel. 100; (1 2 1), 24.30°, rel. 94; (1 0 1), 18.80°, rel. 63; (3 1 2), 42.81°, rel. 47; (3 2 1), 32.76°, rel. 44; (3 0 1), 28.82°, rel. 37; (4 3 1), 42.68°, rel. 30; (2 2 0), 21.64°, rel. 29; (2 4 0), 34.54°, rel. 29; (1 4 1), 36.33°, rel. 26; (1 1 0), 10.77°, rel. 23; (1 7 2), 67.56°, rel. 20

```
data_CdHgC4S4N4
_chemical_formula_sum 'Cd2 Hg2 C8 S8 N8'
_symmetry_space_group_name_H-M 'I -4'
_symmetry_Int_Tables_number 82
_cell_length_a 11.6128
_cell_length_b 11.6128
_cell_length_c 5.1652
_cell_angle_alpha 90.00
_cell_angle_beta 90.00
_cell_angle_gamma 90.00
loop_
_symmetry_equiv_pos_as_xyz
'x,y,z'
'y,-x,-z'
'-x,-y,z'
'-y,x,-z'
'x+1/2,y+1/2,z+1/2'
'y+1/2,-x+1/2,-z+1/2'
'-x+1/2,-y+1/2,z+1/2'
'-y+1/2,x+1/2,-z+1/2'
loop_
_atom_site_label
_atom_site_fract_x
_atom_site_fract_y
_atom_site_fract_z
Cd1 0.0000 0.0000 0.0000
Hg1 0.0000 0.5000 0.2500
C1 0.0688 0.7680 0.3587
S1 0.1045 0.6552 0.5320
N1 0.0451 0.8511 0.2396
```